Computed PXRD pattern of PrTh2Mg6 for Cu Kα (λ = 1.5418 Å), from a GGA-PBE-relaxed structure.
Peak positions follow from Bragg's law for the DFT cell and can differ from measured ones.

Most intense lines, 2θ from 15° to 90°, in order of rising 2θ:
- (1 1 0), d 4.584, I = 100
- (1 1 3), d 2.703, I = 91
- (3 0 0), d 2.647, I = 54
- (2 2 0), d 2.292, I = 17
- (3 0 3), d 2.076, I = 18
- (2 2 3), d 1.891, I = 33
- (4 1 0), d 1.733, I = 15
- (4 1 3), d 1.539, I = 34
- (3 0 6), d 1.414, I = 15
- (5 2 3), d 1.189, I = 15

Structure:
Lattice parameters (Å, degrees): 9.1685 9.1685 10.0386 90.00 90.00 120.00
Space group R-3m (No. 166, hexagonal axes)
One atom of each set of equivalent atoms:
Pr 0.0000 0.0000 0.0000 [3 per cell]
Th 0.0000 0.0000 0.3402 [6 per cell]
Mg 0.0000 0.3342 0.5000 [18 per cell]